# 1
Starting from the GGA-PBE geometry in Alexandria, the PXRD pattern of DyTe2 was simulated for λ = 1.5418 Å (Cu Kα).

The 6 most intense peaks (10° ≤ 2θ ≤ 80°), in order of rising 2θ:
Position (°2θ), I_rel, hkl
28.43, 32, 1 1 0
30.18, 100, 0 0 3
34.99, 74, 1 1 2
36.43, 44, 1 0 3
40.66, 51, 2 0 0
55.70, 38, 2 1 3

Unit cell a=4.438 b=4.438 c=8.899 alpha=90.00 beta=90.00 gamma=90.00
Space group P4/nmm (No. 129, origin choice 2)
Inequivalent atoms, fractional coordinates:
Dy1 0.250 0.250 0.229 (multiplicity 2)
Te1 0.250 0.250 0.872 (multiplicity 2)
Te2 0.250 0.750 0.500 (multiplicity 2)

=====

# 2
Starting from the GGA-PBE geometry in Alexandria, the PXRD pattern of Sr3CuGe2O8 was simulated for λ = 1.5418 Å (Cu Kα).

The 6 most intense peaks (10° ≤ 2θ ≤ 80°), in order of rising 2θ:
Position (°2θ), I_rel, hkl
31.06, 71, 0 1 2
31.76, 100, 1 1 0
45.02, 43, 2 0 2
56.14, 27, 1 2 2
56.59, 19, 3 0 0
66.36, 17, 2 2 0

Unit cell a=5.6343 b=5.6343 c=7.1337 alpha=90.00 beta=90.00 gamma=120.00
Space group P-3m1 (No. 164)
Inequivalent atoms, fractional coordinates:
Sr1 0.0000 0.0000 0.0000 (multiplicity 1)
Sr2 0.3333 0.6667 0.6444 (multiplicity 2)
Cu1 0.0000 0.0000 0.5000 (multiplicity 1)
Ge1 0.3333 0.6667 0.2100 (multiplicity 2)
O1 0.1666 0.3332 0.3136 (multiplicity 6)
O2 0.3333 0.6667 0.9687 (multiplicity 2)

=====

# 3
Starting from the GGA-PBE geometry in Alexandria, the PXRD pattern of SiC was simulated for λ = 1.5418 Å (Cu Kα).

The 6 most intense peaks (10° ≤ 2θ ≤ 80°), in order of rising 2θ:
Position (°2θ), I_rel, hkl
34.08, 19, 1 0 4
34.47, 24, 0 1 5
35.51, 100, 0 0 21
36.10, 26, 0 1 8
59.69, 61, 1 1 0
71.41, 41, 1 1 21

Unit cell a=3.0992 b=3.0992 c=53.0423 alpha=90.00 beta=90.00 gamma=120.00
Space group R3m (No. 160, hexagonal axes)
Inequivalent atoms, fractional coordinates:
Si1 0.0000 0.0000 0.0000 (multiplicity 3)
Si2 0.0000 0.0000 0.0953 (multiplicity 3)
Si3 0.0000 0.0000 0.2381 (multiplicity 3)
Si4 0.0000 0.0000 0.3810 (multiplicity 3)
Si5 0.0000 0.0000 0.5238 (multiplicity 3)
Si6 0.0000 0.0000 0.6191 (multiplicity 3)
Si7 0.0000 0.0000 0.8095 (multiplicity 3)
C1 0.0000 0.0000 0.0595 (multiplicity 3)
C2 0.0000 0.0000 0.2022 (multiplicity 3)
C3 0.0000 0.0000 0.3451 (multiplicity 3)
C4 0.0000 0.0000 0.4880 (multiplicity 3)
C5 0.0000 0.0000 0.5833 (multiplicity 3)
C6 0.0000 0.0000 0.7738 (multiplicity 3)
C7 0.0000 0.0000 0.9642 (multiplicity 3)

=====

# 4
Starting from the GGA-PBE geometry in Alexandria, the PXRD pattern of BaHg3Au3 was simulated for λ = 1.5418 Å (Cu Kα).

The 6 most intense peaks (10° ≤ 2θ ≤ 80°), in order of rising 2θ:
Position (°2θ), I_rel, hkl
30.69, 68, 2 1 0
30.92, 53, 1 1 2
32.04, 70, 2 1 -2
32.59, 37, 1 1 -3
35.92, 100, 0 2 0
39.76, 45, 2 1 2

Unit cell a=7.477 b=5.001 c=10.004 alpha=90.00 beta=106.56 gamma=90.00
Space group P2_1/m (No. 11)
Inequivalent atoms, fractional coordinates:
Ba1 0.142 0.250 0.285 (multiplicity 2)
Hg1 0.146 0.250 0.913 (multiplicity 2)
Hg2 0.456 0.750 0.861 (multiplicity 2)
Hg3 0.498 0.750 0.357 (multiplicity 2)
Au1 0.104 0.250 0.616 (multiplicity 2)
Au2 0.258 0.750 0.072 (multiplicity 2)
Au3 0.269 0.750 0.559 (multiplicity 2)

=====

# 5
Starting from the GGA-PBE geometry in Alexandria, the PXRD pattern of Cd4P2Br5 was simulated for λ = 1.5418 Å (Cu Kα).

The 6 most intense peaks (10° ≤ 2θ ≤ 80°), in order of rising 2θ:
Position (°2θ), I_rel, hkl
16.04, 43, 0 1 3
27.66, 47, 0 0 8
28.48, 40, 1 1 2
35.34, 100, 1 2 1
40.16, 36, 1 0 9
43.12, 61, 0 2 10

Unit cell a=3.615 b=7.210 c=25.792 alpha=90.00 beta=90.00 gamma=90.00
Space group Immm (No. 71)
Inequivalent atoms, fractional coordinates:
Cd1 0.000 0.000 0.155 (multiplicity 4)
Cd2 0.000 0.304 0.500 (multiplicity 4)
P1 0.000 0.000 0.252 (multiplicity 4)
Br1 0.000 0.249 0.392 (multiplicity 8)
Br2 0.000 0.500 0.000 (multiplicity 2)

=====

# 6
Starting from the GGA-PBE geometry in Alexandria, the PXRD pattern of Li3BiPd4 was simulated for λ = 1.5418 Å (Cu Kα).

The 6 most intense peaks (10° ≤ 2θ ≤ 80°), in order of rising 2θ:
Position (°2θ), I_rel, hkl
18.84, 33, 1 1 0
23.98, 56, 1 0 1
30.84, 49, 1 2 1
38.73, 100, 0 4 0
40.63, 64, 0 2 2
47.92, 36, 2 3 1

Unit cell a=5.464 b=9.286 c=5.056 alpha=90.00 beta=90.00 gamma=90.00
Space group Imm2 (No. 44)
Inequivalent atoms, fractional coordinates:
Li1 0.000 0.000 0.000 (multiplicity 2)
Li2 0.000 0.237 0.757 (multiplicity 4)
Bi1 0.000 0.500 0.491 (multiplicity 2)
Pd1 0.000 0.238 0.254 (multiplicity 4)
Pd2 0.247 0.000 0.494 (multiplicity 4)